Starting from the PBE+U geometry in the Materials Project, the powder diffractogram of VH3C4O6 was calculated for Cu Kα, 1.54184 Å.
Intensities are scaled so that the largest is 100.

Structure:
Cell: 8.5384 8.5036 9.8153 Å, 90.00 104.80 90.00°
Fractional coordinates of all 56 atoms:
V  0.1407  0.0570  0.1248
V  0.1407  0.4430  0.6248
V  0.8593  0.5570  0.3752
V  0.8593  0.9430  0.8752
H  0.1158  0.1108  0.8507
H  0.1158  0.3892  0.3507
H  0.3879  0.2325  0.6291
H  0.3879  0.2675  0.1291
H  0.4621  0.1008  0.1956
H  0.4621  0.3992  0.6956
H  0.5379  0.6008  0.3044
H  0.5379  0.8992  0.8044
H  0.6121  0.7325  0.8709
H  0.6121  0.7675  0.3709
H  0.8842  0.6108  0.6493
H  0.8842  0.8892  0.1493
C  0.0957  0.6777  0.9415
C  0.0957  0.8223  0.4415
C  0.1895  0.5377  0.9307
C  0.1895  0.9623  0.4307
C  0.2166  0.7221  0.0715
C  0.2166  0.7779  0.5715
C  0.2974  0.5675  0.0715
C  0.2974  0.9325  0.5715
C  0.7026  0.0675  0.4285
C  0.7026  0.4325  0.9285
C  0.7834  0.2221  0.4285
C  0.7834  0.2779  0.9285
C  0.8105  0.0377  0.5693
C  0.8105  0.4623  0.0693
C  0.9043  0.1777  0.5585
C  0.9043  0.3223  0.0585
O  0.0401  0.2266  0.6334
O  0.0401  0.2734  0.1334
O  0.0849  0.0370  0.9154
O  0.0849  0.4630  0.4154
O  0.1851  0.0683  0.3389
O  0.1851  0.4317  0.8389
O  0.2508  0.6601  0.6524
O  0.2508  0.8399  0.1524
O  0.3688  0.1522  0.1281
O  0.3688  0.3478  0.6281
O  0.4056  0.0075  0.6559
O  0.4056  0.4925  0.1559
O  0.5944  0.5075  0.8441
O  0.5944  0.9925  0.3441
O  0.6312  0.6522  0.3719
O  0.6312  0.8478  0.8719
O  0.7492  0.1601  0.8476
O  0.7492  0.3399  0.3476
O  0.8149  0.5683  0.1611
O  0.8149  0.9317  0.6611
O  0.9151  0.5370  0.5846
O  0.9151  0.9630  0.0846
O  0.9599  0.7266  0.8666
O  0.9599  0.7734  0.3666

Main lines, sorted by position (2θ from 10° to 90°):
Position (°2θ)	Rel. int.	(hkl)
10.72	97	1 0 0
16.12	100	1 1 -1
19.05	60	1 0 -2
20.89	17	0 2 0
21.49	13	2 0 0
23.64	31	2 1 -1
26.87	17	2 1 -2
37.92	22	0 0 4

***

Starting from the PBE+U geometry in the Materials Project, the powder diffractogram of Mn2HgC10O10 was calculated for Cu Kα, 1.54184 Å.
Intensities are scaled so that the largest is 100.

Structure:
Cell: 6.3815 6.3826 9.5883 Å, 82.75 89.31 81.59°
Fractional coordinates of all 23 atoms:
Mn  0.1333  0.1849  0.2582
Mn  0.8667  0.8151  0.7418
Hg  0.0000  0.0000  0.5000
C  0.0267  0.5712  0.6885
C  0.1090  0.8879  0.8181
C  0.2256  0.3142  0.0934
C  0.2725  0.9116  0.2415
C  0.3583  0.2323  0.3656
C  0.6417  0.7677  0.6344
C  0.7275  0.0884  0.7585
C  0.7744  0.6858  0.9066
C  0.8910  0.1121  0.1819
C  0.9733  0.4288  0.3115
O  0.1232  0.4153  0.6574
O  0.2586  0.9312  0.8686
O  0.2809  0.3994  0.9876
O  0.3591  0.7421  0.2286
O  0.4988  0.7376  0.5700
O  0.5012  0.2624  0.4300
O  0.6409  0.2579  0.7714
O  0.7191  0.6006  0.0124
O  0.7414  0.0688  0.1314
O  0.8768  0.5847  0.3426

Main lines, sorted by position (2θ from 10° to 90°):
Position (°2θ)	Rel. int.	(hkl)
14.03	99	1 0 0
14.14	69	0 1 0
15.93	100	0 1 1
16.91	75	1 0 1
19.90	54	1 1 1
21.39	46	1 -1 0
29.92	69	2 0 1
34.04	55	-1 2 1

***

Starting from the PBE+U geometry in the Materials Project, the powder diffractogram of Mn2HgC10O10 was calculated for Cu Kα, 1.54184 Å.
Intensities are scaled so that the largest is 100.

Structure:
Cell: 6.6077 6.4075 19.2243 Å, 90.00 95.59 90.00°
Fractional coordinates of all 46 atoms:
Mn  0.1879  0.1516  0.1211
Mn  0.1879  0.3484  0.6211
Mn  0.8121  0.6516  0.3789
Mn  0.8121  0.8484  0.8789
Hg  0.0000  0.0000  0.0000
Hg  0.0000  0.5000  0.5000
C  0.0630  0.7307  0.8672
C  0.0630  0.7693  0.3672
C  0.1061  0.5943  0.6603
C  0.1061  0.9057  0.1603
C  0.2404  0.1255  0.5645
C  0.2404  0.3745  0.0645
C  0.3168  0.2436  0.7013
C  0.3168  0.2564  0.2013
C  0.4132  0.0115  0.0946
C  0.4132  0.4885  0.5946
C  0.5868  0.5115  0.4054
C  0.5868  0.9885  0.9054
C  0.6832  0.7436  0.7987
C  0.6832  0.7564  0.2987
C  0.7596  0.6255  0.9355
C  0.7596  0.8745  0.4355
C  0.8939  0.0943  0.8397
C  0.8939  0.4057  0.3397
C  0.9370  0.2307  0.6328
C  0.9370  0.2693  0.1328
O  0.0566  0.7483  0.6855
O  0.0566  0.7517  0.1855
O  0.2184  0.6553  0.8590
O  0.2184  0.8447  0.3590
O  0.2712  0.5163  0.0293
O  0.2712  0.9837  0.5293
O  0.4000  0.1768  0.7524
O  0.4000  0.3232  0.2524
O  0.4452  0.0779  0.9208
O  0.4452  0.4221  0.4208
O  0.5548  0.5779  0.5792
O  0.5548  0.9221  0.0792
O  0.6000  0.6768  0.7476
O  0.6000  0.8232  0.2476
O  0.7288  0.0163  0.4707
O  0.7288  0.4837  0.9707
O  0.7816  0.1553  0.6410
O  0.7816  0.3447  0.1410
O  0.9434  0.2483  0.8145
O  0.9434  0.2517  0.3145

Main lines, sorted by position (2θ from 10° to 90°):
Position (°2θ)	Rel. int.	(hkl)
13.46	53	1 0 0
14.58	100	0 1 1
15.59	70	1 0 -2
19.59	58	1 1 -1
23.09	27	1 1 -3
29.40	37	0 2 2
30.51	33	2 1 -1
31.45	43	1 1 5

***

Starting from the PBE+U geometry in the Materials Project, the powder diffractogram of Mn2InC10IO10 was calculated for Cu Kα, 1.54184 Å.
Intensities are scaled so that the largest is 100.

Structure:
Cell: 9.1593 10.0548 10.5587 Å, 117.07 92.43 92.99°
Fractional coordinates of all 48 atoms:
Mn  0.2429  0.2440  0.4094
Mn  0.2492  0.7182  0.0700
Mn  0.7508  0.2818  0.9300
Mn  0.7571  0.7560  0.5906
In  0.1604  0.9996  0.1572
In  0.8396  0.0004  0.8428
C  0.0465  0.2863  0.4307
C  0.0971  0.7030  0.1747
C  0.1180  0.6719  0.9133
C  0.2077  0.1074  0.4805
C  0.2655  0.3530  0.3074
C  0.3040  0.5271  0.9985
C  0.3098  0.4004  0.5782
C  0.3755  0.7869  0.2337
C  0.3908  0.7846  0.9863
C  0.4304  0.1811  0.3677
C  0.5696  0.8189  0.6323
C  0.6092  0.2154  0.0137
C  0.6245  0.2131  0.7663
C  0.6902  0.5996  0.4218
C  0.6960  0.4729  0.0015
C  0.7345  0.6470  0.6926
C  0.7923  0.8926  0.5195
C  0.8820  0.3281  0.0867
C  0.9029  0.2970  0.8253
C  0.9535  0.7137  0.5693
I  0.1637  0.0480  0.8995
I  0.8363  0.9520  0.1005
O  0.0028  0.6935  0.2407
O  0.0391  0.6380  0.8129
O  0.0736  0.6846  0.5496
O  0.1859  0.0228  0.5250
O  0.2830  0.4263  0.2503
O  0.3406  0.4061  0.9491
O  0.3563  0.5012  0.6846
O  0.4517  0.8549  0.6539
O  0.4550  0.8258  0.3346
O  0.4795  0.8229  0.9324
O  0.5205  0.1771  0.0676
O  0.5450  0.1742  0.6654
O  0.5483  0.1451  0.3461
O  0.6437  0.4988  0.3154
O  0.6594  0.5939  0.0509
O  0.7170  0.5737  0.7497
O  0.8141  0.9772  0.4750
O  0.9264  0.3154  0.4504
O  0.9609  0.3620  0.1871
O  0.9972  0.3065  0.7593

Main lines, sorted by position (2θ from 10° to 90°):
Position (°2θ)	Rel. int.	(hkl)
10.08	59	0 1 -1
13.03	71	1 0 -1
13.31	45	1 -1 0
14.07	100	1 1 -1
19.46	43	2 0 0
30.27	96	3 -1 0
30.55	79	0 3 -3
30.87	72	1 -3 0

***

Please write out number 1 again, unchanged.
Starting from the PBE+U geometry in the Materials Project, the powder diffractogram of VH3C4O6 was calculated for Cu Kα, 1.54184 Å.
Intensities are scaled so that the largest is 100.

Structure:
Cell: 8.5384 8.5036 9.8153 Å, 90.00 104.80 90.00°
Fractional coordinates of all 56 atoms:
V  0.1407  0.0570  0.1248
V  0.1407  0.4430  0.6248
V  0.8593  0.5570  0.3752
V  0.8593  0.9430  0.8752
H  0.1158  0.1108  0.8507
H  0.1158  0.3892  0.3507
H  0.3879  0.2325  0.6291
H  0.3879  0.2675  0.1291
H  0.4621  0.1008  0.1956
H  0.4621  0.3992  0.6956
H  0.5379  0.6008  0.3044
H  0.5379  0.8992  0.8044
H  0.6121  0.7325  0.8709
H  0.6121  0.7675  0.3709
H  0.8842  0.6108  0.6493
H  0.8842  0.8892  0.1493
C  0.0957  0.6777  0.9415
C  0.0957  0.8223  0.4415
C  0.1895  0.5377  0.9307
C  0.1895  0.9623  0.4307
C  0.2166  0.7221  0.0715
C  0.2166  0.7779  0.5715
C  0.2974  0.5675  0.0715
C  0.2974  0.9325  0.5715
C  0.7026  0.0675  0.4285
C  0.7026  0.4325  0.9285
C  0.7834  0.2221  0.4285
C  0.7834  0.2779  0.9285
C  0.8105  0.0377  0.5693
C  0.8105  0.4623  0.0693
C  0.9043  0.1777  0.5585
C  0.9043  0.3223  0.0585
O  0.0401  0.2266  0.6334
O  0.0401  0.2734  0.1334
O  0.0849  0.0370  0.9154
O  0.0849  0.4630  0.4154
O  0.1851  0.0683  0.3389
O  0.1851  0.4317  0.8389
O  0.2508  0.6601  0.6524
O  0.2508  0.8399  0.1524
O  0.3688  0.1522  0.1281
O  0.3688  0.3478  0.6281
O  0.4056  0.0075  0.6559
O  0.4056  0.4925  0.1559
O  0.5944  0.5075  0.8441
O  0.5944  0.9925  0.3441
O  0.6312  0.6522  0.3719
O  0.6312  0.8478  0.8719
O  0.7492  0.1601  0.8476
O  0.7492  0.3399  0.3476
O  0.8149  0.5683  0.1611
O  0.8149  0.9317  0.6611
O  0.9151  0.5370  0.5846
O  0.9151  0.9630  0.0846
O  0.9599  0.7266  0.8666
O  0.9599  0.7734  0.3666

Main lines, sorted by position (2θ from 10° to 90°):
Position (°2θ)	Rel. int.	(hkl)
10.72	97	1 0 0
16.12	100	1 1 -1
19.05	60	1 0 -2
20.89	17	0 2 0
21.49	13	2 0 0
23.64	31	2 1 -1
26.87	17	2 1 -2
37.92	22	0 0 4